Record 1
This entry pairs a crystal structure of NaPu3S6 with its simulated powder diffraction line list. Radiation: a wavelength of 1.5418 Å. Structure: the PBE geometry in Alexandria.
No peak broadening, texture or thermal motion is included.

Structural model:
```
data_NaPu3S6
_chemical_formula_sum 'Na1 Pu3 S6'
_cell_length_a 7.425
_cell_length_b 7.425
_cell_length_c 7.425
_cell_angle_alpha 55.73
_cell_angle_beta 55.73
_cell_angle_gamma 55.73
_symmetry_space_group_name_H-M 'P 1'
_symmetry_Int_Tables_number 1
loop_
_symmetry_equiv_pos_as_xyz
'x,y,z'
loop_
_atom_site_label
_atom_site_type_symbol
_atom_site_fract_x
_atom_site_fract_y
_atom_site_fract_z
Na1 Na 0.000 0.000 0.000
Pu1 Pu 0.206 0.206 0.206
Pu2 Pu 0.518 0.518 0.518
Pu3 Pu 0.715 0.715 0.715
S1 S 0.119 0.809 0.428
S2 S 0.347 0.572 0.922
S3 S 0.428 0.119 0.809
S4 S 0.572 0.922 0.347
S5 S 0.809 0.428 0.119
S6 S 0.922 0.347 0.572
```

Top 10 peaks for 2θ from 15° to 90°, low angle first:
2theta, Rel. int.
15.5, 36
17.5, 74
24.1, 86
25.7, 100
29.4, 28
35.5, 42
38.8, 90
44.3, 41
45.3, 45
61.1, 23

=====

Record 2
This entry pairs a crystal structure of TlCuHgSe2 with its simulated powder diffraction line list. Radiation: a wavelength of 1.5418 Å. Structure: the PBE geometry in Alexandria.
No peak broadening, texture or thermal motion is included.

Structural model:
```
data_TlCuHgSe2
_chemical_formula_sum 'Tl2 Cu2 Hg2 Se4'
_cell_length_a 7.160
_cell_length_b 5.302
_cell_length_c 7.735
_cell_angle_alpha 90.00
_cell_angle_beta 102.41
_cell_angle_gamma 90.00
_symmetry_space_group_name_H-M 'P 1'
_symmetry_Int_Tables_number 1
loop_
_symmetry_equiv_pos_as_xyz
'x,y,z'
loop_
_atom_site_label
_atom_site_type_symbol
_atom_site_fract_x
_atom_site_fract_y
_atom_site_fract_z
Tl1 Tl 0.000 0.161 0.250
Tl2 Tl 0.000 0.839 0.750
Cu1 Cu 0.500 0.000 0.000
Cu2 Cu 0.500 0.000 0.500
Hg1 Hg 0.500 0.448 0.750
Hg2 Hg 0.500 0.552 0.250
Se1 Se 0.261 0.291 0.963
Se2 Se 0.261 0.709 0.463
Se3 Se 0.739 0.291 0.537
Se4 Se 0.739 0.709 0.037
```

Top 10 peaks for 2θ from 15° to 90°, low angle first:
2theta, Rel. int.
21.0, 41
25.5, 100
29.6, 41
30.9, 41
33.8, 36
35.9, 22
38.7, 20
39.2, 19
41.7, 21
52.3, 23